This entry pairs a crystal structure of LaNd12Y2 with its simulated XRD peak list. Radiation: CuKα. Structure: a GGA-PBE-relaxed structure.
No peak broadening, texture or thermal motion is included.

Crystal structure
a b c (Å): 6.8750 6.8750 25.1802
angles (deg): 90.00 90.00 116.52
Positions (direct):
La 0.2500 0.7500 0.9959
La 0.7500 0.2500 0.0041
Nd 0.0043 0.5043 0.8669
Nd 0.0077 0.9923 0.0763
Nd 0.0196 0.5196 0.4155
Nd 0.0242 0.9758 0.5599
Nd 0.2500 0.2500 0.2003
Nd 0.2500 0.2500 0.3259
Nd 0.2500 0.2500 0.6741
Nd 0.2500 0.2500 0.7997
Nd 0.4758 0.5242 0.5599
Nd 0.4804 0.9804 0.4155
Nd 0.4923 0.5077 0.0763
Nd 0.4957 0.9957 0.8669
Nd 0.5043 0.0043 0.1331
Nd 0.5077 0.4923 0.9237
Nd 0.5196 0.0196 0.5845
Nd 0.5242 0.4758 0.4401
Nd 0.7500 0.7500 0.2003
Nd 0.7500 0.7500 0.3259
Nd 0.7500 0.7500 0.6741
Nd 0.7500 0.7500 0.7997
Nd 0.9758 0.0242 0.4401
Nd 0.9804 0.4804 0.5845
Nd 0.9923 0.0077 0.9237
Nd 0.9957 0.4957 0.1331
Y 0.2500 0.7500 0.2681
Y 0.2500 0.7500 0.7274
Y 0.7500 0.2500 0.2726
Y 0.7500 0.2500 0.7319

Most intense lines, 10 to 80 degrees two-theta, by angle:
| 2theta | d [Å] | Rel. int. |
| --- | --- | --- |
| 25.63 | 3.476 | 24 |
| 29.15 | 3.064 | 54 |
| 29.90 | 2.988 | 68 |
| 30.58 | 2.923 | 77 |
| 30.96 | 2.888 | 24 |
| 32.34 | 2.768 | 100 |
| 36.21 | 2.481 | 50 |
| 46.98 | 1.934 | 21 |
| 57.09 | 1.613 | 25 |
| 60.17 | 1.538 | 21 |

This entry pairs a crystal structure of NdB3Os2 with its simulated XRD peak list. Radiation: CuKα. Structure: a GGA-PBE-relaxed structure.
No peak broadening, texture or thermal motion is included.

Crystal structure
a b c (Å): 6.4117 6.4117 6.4117
angles (deg): 130.84 76.83 125.02
Positions (direct):
Nd 0.3947 0.1447 0.2500
Nd 0.6053 0.8553 0.7500
B 0.0000 0.0000 0.5000
B 0.0000 0.1679 0.1679
B 0.0000 0.5000 0.0000
B 0.0000 0.8321 0.8321
B 0.5000 0.1679 0.6679
B 0.5000 0.8321 0.3321
Os 0.1044 0.6900 0.4144
Os 0.2243 0.3100 0.9144
Os 0.7757 0.6900 0.0856
Os 0.8956 0.3100 0.5856

Most intense lines, 10 to 80 degrees two-theta, by angle:
| 2theta | d [Å] | Rel. int. |
| --- | --- | --- |
| 28.69 | 3.111 | 25 |
| 30.20 | 2.960 | 23 |
| 30.67 | 2.915 | 100 |
| 33.60 | 2.667 | 48 |
| 35.83 | 2.506 | 48 |
| 45.80 | 1.981 | 16 |
| 46.13 | 1.968 | 70 |
| 52.71 | 1.736 | 19 |
| 65.85 | 1.418 | 16 |
| 78.95 | 1.213 | 14 |

This entry pairs a crystal structure of LiO3 with its simulated XRD peak list. Radiation: CuKα. Structure: a GGA-PBE-relaxed structure.
No peak broadening, texture or thermal motion is included.

Crystal structure
a b c (Å): 4.0375 4.0375 4.0375
angles (deg): 139.07 102.98 91.14
Positions (direct):
Li 0.0000 0.0000 0.0000
O 0.1274 0.3507 0.7767
O 0.4873 0.4873 0.0000
O 0.5740 0.3507 0.2233

Most intense lines, 10 to 80 degrees two-theta, by angle:
| 2theta | d [Å] | Rel. int. |
| --- | --- | --- |
| 23.68 | 3.757 | 50 |
| 31.66 | 2.826 | 54 |
| 35.55 | 2.526 | 100 |
| 36.50 | 2.462 | 39 |
| 48.46 | 1.878 | 32 |
| 49.08 | 1.856 | 17 |
| 51.27 | 1.782 | 19 |
| 66.20 | 1.412 | 9 |
| 70.85 | 1.330 | 12 |
| 77.48 | 1.232 | 8 |

This entry pairs a crystal structure of HoHfPd4 with its simulated XRD peak list. Radiation: CuKα. Structure: a GGA-PBE-relaxed structure.
No peak broadening, texture or thermal motion is included.

Crystal structure
a b c (Å): 6.7726 4.0855 16.2244
angles (deg): 90.00 90.00 90.00
Positions (direct):
Ho 0.1809 0.2500 0.2102
Ho 0.3191 0.7500 0.7102
Ho 0.6809 0.2500 0.2898
Ho 0.8191 0.7500 0.7898
Hf 0.1925 0.7500 0.4745
Hf 0.3075 0.2500 0.9745
Hf 0.6925 0.7500 0.0255
Hf 0.8075 0.2500 0.5255
Pd 0.0413 0.7500 0.9407
Pd 0.0625 0.2500 0.3777
Pd 0.1321 0.2500 0.8208
Pd 0.2207 0.2500 0.5900
Pd 0.2793 0.7500 0.0900
Pd 0.3679 0.7500 0.3208
Pd 0.4375 0.7500 0.8777
Pd 0.4587 0.2500 0.4407
Pd 0.5413 0.7500 0.5593
Pd 0.5625 0.2500 0.1223
Pd 0.6321 0.2500 0.6792
Pd 0.7207 0.2500 0.9100
Pd 0.7793 0.7500 0.4100
Pd 0.8679 0.7500 0.1792
Pd 0.9375 0.7500 0.6223
Pd 0.9587 0.2500 0.0593

Most intense lines, 10 to 80 degrees two-theta, by angle:
| 2theta | d [Å] | Rel. int. |
| --- | --- | --- |
| 33.84 | 2.649 | 17 |
| 36.19 | 2.482 | 51 |
| 37.82 | 2.379 | 100 |
| 38.33 | 2.348 | 66 |
| 41.16 | 2.193 | 19 |
| 42.24 | 2.139 | 24 |
| 43.44 | 2.083 | 24 |
| 44.34 | 2.043 | 45 |
| 46.76 | 1.943 | 24 |
| 66.40 | 1.408 | 18 |